# 1
# KLa5V2O13
Simulated powder X-ray diffraction pattern, Cu Kα X-rays. Input: a structure optimized by DFT (PBE+U).
No peak broadening, texture or thermal motion is included.

The 6 most intense peaks (2θ from 15° to 90°), in order of rising 2θ:
- 3.356 Å, I = 100.0
- 3.335 Å, I = 97.2
- 2.985 Å, I = 29.6
- 2.083 Å, I = 28.2
- 2.045 Å, I = 31.0
- 1.785 Å, I = 32.2

Structural model:
Unit cell a=10.618 b=10.618 c=12.690 alpha=116.68 beta=116.68 gamma=32.66
Sites, in units of the cell vectors:
K: 0.249 0.751 0.000
K: 0.751 0.249 0.000
La: 0.031 0.031 0.665
La: 0.192 0.192 0.414
La: 0.236 0.236 0.741
La: 0.336 0.336 0.116
La: 0.391 0.391 0.442
La: 0.609 0.609 0.558
La: 0.664 0.664 0.884
La: 0.764 0.764 0.259
La: 0.808 0.808 0.586
La: 0.969 0.969 0.335
V: 0.158 0.158 0.058
V: 0.439 0.439 0.738
V: 0.561 0.561 0.262
V: 0.842 0.842 0.942
O: 0.023 0.550 0.928
O: 0.029 0.537 0.418
O: 0.081 0.081 0.918
O: 0.115 0.613 0.271
O: 0.131 0.131 0.168
O: 0.186 0.660 0.647
O: 0.243 0.757 0.500
O: 0.340 0.814 0.353
O: 0.383 0.383 0.804
O: 0.387 0.885 0.729
O: 0.450 0.977 0.072
O: 0.463 0.971 0.582
O: 0.468 0.468 0.153
O: 0.532 0.532 0.847
O: 0.537 0.029 0.418
O: 0.550 0.023 0.928
O: 0.613 0.115 0.271
O: 0.617 0.617 0.196
O: 0.660 0.186 0.647
O: 0.757 0.243 0.500
O: 0.814 0.340 0.353
O: 0.869 0.869 0.832
O: 0.885 0.387 0.729
O: 0.919 0.919 0.082
O: 0.971 0.463 0.582
O: 0.977 0.450 0.072


# 2
# KLaV4O12
Simulated powder X-ray diffraction pattern, Cu Kα X-rays. Input: a structure optimized by DFT (PBE+U).
No peak broadening, texture or thermal motion is included.

The 6 most intense peaks (2θ from 15° to 90°), in order of rising 2θ:
- 4.532 Å, I = 100.0
- 2.894 Å, I = 64.6
- 2.889 Å, I = 60.2
- 2.694 Å, I = 30.8
- 2.580 Å, I = 35.0
- 1.543 Å, I = 36.6

Structural model:
Unit cell a=7.288 b=5.984 c=5.984 alpha=75.26 beta=90.00 gamma=90.00
Sites, in units of the cell vectors:
K: 0.000 0.000 0.000
La: 0.500 0.521 0.521
V: 0.251 0.009 0.508
V: 0.251 0.508 0.009
V: 0.749 0.009 0.508
V: 0.749 0.508 0.009
O: 0.000 0.473 0.981
O: 0.000 0.981 0.473
O: 0.250 0.697 0.697
O: 0.263 0.227 0.227
O: 0.272 0.178 0.689
O: 0.272 0.689 0.178
O: 0.500 0.455 0.937
O: 0.500 0.937 0.455
O: 0.728 0.178 0.689
O: 0.728 0.689 0.178
O: 0.737 0.227 0.227
O: 0.750 0.697 0.697


# 3
# K4Li7Mn2O8
Simulated powder X-ray diffraction pattern, Cu Kα X-rays. Input: a structure optimized by DFT (PBE+U).
No peak broadening, texture or thermal motion is included.

The 6 most intense peaks (2θ from 15° to 90°), in order of rising 2θ:
- 4.194 Å, I = 100.0
- 2.729 Å, I = 64.7
- 2.705 Å, I = 60.2
- 2.694 Å, I = 62.6
- 2.660 Å, I = 83.7
- 2.633 Å, I = 94.4

Structural model:
Unit cell a=5.703 b=8.975 c=10.928 alpha=90.03 beta=97.99 gamma=90.01
Sites, in units of the cell vectors:
K: 0.000 0.000 0.000
K: 0.030 0.752 0.525
K: 0.197 0.753 0.204
K: 0.241 0.504 0.737
K: 0.492 0.000 0.490
K: 0.532 0.250 0.027
K: 0.697 0.248 0.704
K: 0.735 0.495 0.227
Li: 0.022 0.003 0.675
Li: 0.042 0.259 0.172
Li: 0.117 0.256 0.869
Li: 0.183 0.226 0.569
Li: 0.206 0.496 0.060
Li: 0.300 0.731 0.940
Li: 0.427 0.230 0.294
Li: 0.525 0.997 0.176
Li: 0.545 0.728 0.665
Li: 0.604 0.738 0.364
Li: 0.686 0.762 0.063
Li: 0.707 0.504 0.561
Li: 0.811 0.259 0.431
Li: 0.916 0.760 0.803
Mn: 0.273 0.455 0.418
Mn: 0.453 0.957 0.816
Mn: 0.779 0.530 0.919
Mn: 0.949 0.027 0.316
O: 0.011 0.430 0.509
O: 0.234 0.066 0.226
O: 0.246 0.803 0.751
O: 0.260 0.436 0.244
O: 0.264 0.158 0.758
O: 0.458 0.654 0.481
O: 0.474 0.936 0.991
O: 0.478 0.299 0.482
O: 0.492 0.567 0.007
O: 0.713 0.931 0.724
O: 0.740 0.203 0.248
O: 0.747 0.831 0.251
O: 0.751 0.566 0.731
O: 0.977 0.336 0.989
O: 0.978 0.065 0.503
O: 0.986 0.707 0.986


# 4
# K4Li3Mn2O8
Simulated powder X-ray diffraction pattern, Cu Kα X-rays. Input: a structure optimized by DFT (PBE+U).
No peak broadening, texture or thermal motion is included.

The 6 most intense peaks (2θ from 15° to 90°), in order of rising 2θ:
- 4.030 Å, I = 94.3
- 3.345 Å, I = 63.2
- 3.326 Å, I = 55.0
- 2.732 Å, I = 100.0
- 2.696 Å, I = 66.4
- 2.633 Å, I = 78.9

Structural model:
Unit cell a=5.649 b=8.451 c=11.458 alpha=90.00 beta=107.39 gamma=90.00
Sites, in units of the cell vectors:
K: 0.000 0.010 0.000
K: 0.000 0.990 0.500
K: 0.480 0.460 0.766
K: 0.480 0.540 0.266
K: 0.544 0.253 0.035
K: 0.544 0.747 0.535
K: 0.907 0.249 0.717
K: 0.907 0.751 0.217
Li: 0.114 0.299 0.179
Li: 0.114 0.701 0.679
Li: 0.558 0.280 0.457
Li: 0.558 0.720 0.957
Li: 0.841 0.235 0.312
Li: 0.841 0.765 0.812
Mn: 0.085 0.464 0.452
Mn: 0.085 0.536 0.952
Mn: 0.348 0.041 0.311
Mn: 0.348 0.959 0.811
O: 0.029 0.074 0.248
O: 0.029 0.926 0.748
O: 0.038 0.335 0.002
O: 0.038 0.665 0.502
O: 0.415 0.453 0.516
O: 0.415 0.547 0.016
O: 0.431 0.140 0.775
O: 0.431 0.860 0.275
O: 0.444 0.060 0.466
O: 0.444 0.940 0.966
O: 0.471 0.210 0.259
O: 0.471 0.790 0.759
O: 0.909 0.298 0.482
O: 0.909 0.702 0.982
O: 0.984 0.437 0.283
O: 0.984 0.563 0.783


# 5
# K4Li7Mn2O8
Simulated powder X-ray diffraction pattern, Cu Kα X-rays. Input: a structure optimized by DFT (PBE+U).
No peak broadening, texture or thermal motion is included.

The 6 most intense peaks (2θ from 15° to 90°), in order of rising 2θ:
- 4.172 Å, I = 70.7
- 2.714 Å, I = 47.9
- 2.684 Å, I = 46.9
- 2.674 Å, I = 44.4
- 2.634 Å, I = 100.0
- 2.612 Å, I = 85.4

Structural model:
Unit cell a=5.656 b=8.952 c=11.528 alpha=90.00 beta=111.37 gamma=90.00
Sites, in units of the cell vectors:
K: 0.000 0.002 0.000
K: 0.000 0.998 0.500
K: 0.506 0.493 0.253
K: 0.506 0.507 0.753
K: 0.510 0.250 0.466
K: 0.510 0.750 0.966
K: 0.992 0.241 0.784
K: 0.992 0.759 0.284
Li: 0.131 0.235 0.195
Li: 0.131 0.765 0.695
Li: 0.147 0.498 0.426
Li: 0.147 0.502 0.926
Li: 0.242 0.263 0.620
Li: 0.242 0.737 0.120
Li: 0.349 0.000 0.315
Li: 0.349 0.000 0.815
Li: 0.373 0.260 0.055
Li: 0.373 0.740 0.555
Li: 0.611 0.230 0.918
Li: 0.611 0.770 0.418
Li: 0.871 0.263 0.320
Li: 0.871 0.737 0.820
Mn: 0.635 0.033 0.174
Mn: 0.635 0.967 0.674
Mn: 0.856 0.457 0.070
Mn: 0.856 0.543 0.570
O: 0.019 0.440 0.245
O: 0.019 0.560 0.745
O: 0.481 0.062 0.994
O: 0.481 0.938 0.494
O: 0.492 0.196 0.241
O: 0.492 0.804 0.741
O: 0.497 0.166 0.734
O: 0.497 0.834 0.234
O: 0.498 0.429 0.982
O: 0.498 0.571 0.482
O: 0.977 0.345 0.504
O: 0.977 0.655 0.004
O: 0.997 0.300 0.007
O: 0.997 0.700 0.507
O: 0.998 0.070 0.264
O: 0.998 0.930 0.764


# 6
# K11LiMn4O16
Simulated powder X-ray diffraction pattern, Cu Kα X-rays. Input: a structure optimized by DFT (PBE+U).
No peak broadening, texture or thermal motion is included.

The 6 most intense peaks (2θ from 15° to 90°), in order of rising 2θ:
- 4.759 Å, I = 29.2
- 2.967 Å, I = 100.0
- 2.816 Å, I = 39.0
- 2.626 Å, I = 17.2
- 2.518 Å, I = 21.8
- 1.653 Å, I = 21.9

Structural model:
Unit cell a=10.530 b=10.530 c=10.530 alpha=135.56 beta=135.56 gamma=64.66
Sites, in units of the cell vectors:
K: 0.000 0.000 0.000
K: 0.000 0.500 0.500
K: 0.183 0.572 0.000
K: 0.209 0.209 0.000
K: 0.250 0.750 0.500
K: 0.428 0.428 0.611
K: 0.500 0.000 0.500
K: 0.572 0.183 0.000
K: 0.750 0.250 0.500
K: 0.791 0.791 0.000
K: 0.817 0.817 0.389
Li: 0.500 0.500 0.000
Mn: 0.120 0.120 0.487
Mn: 0.367 0.880 0.000
Mn: 0.633 0.633 0.513
Mn: 0.880 0.367 0.000
O: 0.082 0.393 0.247
O: 0.089 0.089 0.604
O: 0.145 0.835 0.753
O: 0.165 0.918 0.310
O: 0.297 0.297 0.708
O: 0.393 0.082 0.247
O: 0.411 0.703 0.000
O: 0.485 0.485 0.396
O: 0.515 0.911 0.000
O: 0.589 0.589 0.292
O: 0.607 0.855 0.690
O: 0.703 0.411 0.000
O: 0.835 0.145 0.753
O: 0.855 0.607 0.690
O: 0.911 0.515 0.000
O: 0.918 0.165 0.310


# 7
# K2Li3MnO4
Simulated powder X-ray diffraction pattern, Cu Kα X-rays. Input: a structure optimized by DFT (PBE+U).
No peak broadening, texture or thermal motion is included.

The 6 most intense peaks (2θ from 15° to 90°), in order of rising 2θ:
- 4.001 Å, I = 57.2
- 2.636 Å, I = 34.6
- 2.623 Å, I = 100.0
- 2.610 Å, I = 45.7
- 2.600 Å, I = 52.2
- 2.582 Å, I = 34.3

Structural model:
Unit cell a=5.548 b=8.972 c=10.985 alpha=90.00 beta=108.13 gamma=90.00
Sites, in units of the cell vectors:
K: 0.208 0.010 0.362
K: 0.208 0.490 0.862
K: 0.215 0.227 0.608
K: 0.215 0.273 0.108
K: 0.785 0.727 0.892
K: 0.785 0.773 0.392
K: 0.792 0.510 0.138
K: 0.792 0.990 0.638
Li: 0.121 0.005 0.927
Li: 0.121 0.495 0.427
Li: 0.121 0.735 0.700
Li: 0.121 0.765 0.200
Li: 0.405 0.536 0.295
Li: 0.405 0.964 0.795
Li: 0.595 0.036 0.205
Li: 0.595 0.464 0.705
Li: 0.879 0.235 0.800
Li: 0.879 0.265 0.300
Li: 0.879 0.505 0.573
Li: 0.879 0.995 0.073
Mn: 0.410 0.706 0.558
Mn: 0.410 0.794 0.058
Mn: 0.590 0.206 0.942
Mn: 0.590 0.294 0.442
O: 0.243 0.171 0.846
O: 0.243 0.329 0.346
O: 0.247 0.538 0.618
O: 0.247 0.693 0.377
O: 0.247 0.807 0.877
O: 0.247 0.962 0.118
O: 0.298 0.608 0.112
O: 0.298 0.892 0.612
O: 0.702 0.108 0.388
O: 0.702 0.392 0.888
O: 0.753 0.038 0.882
O: 0.753 0.193 0.123
O: 0.753 0.307 0.623
O: 0.753 0.462 0.382
O: 0.757 0.671 0.654
O: 0.757 0.829 0.154


# 8
# KLi2Mn2O4
Simulated powder X-ray diffraction pattern, Cu Kα X-rays. Input: a structure optimized by DFT (PBE+U).
No peak broadening, texture or thermal motion is included.

The 6 most intense peaks (2θ from 15° to 90°), in order of rising 2θ:
- 2.614 Å, I = 96.5
- 2.512 Å, I = 100.0
- 2.299 Å, I = 38.9
- 2.075 Å, I = 79.2
- 1.678 Å, I = 55.0
- 1.628 Å, I = 38.9

Structural model:
Unit cell a=3.261 b=12.749 c=5.476 alpha=90.00 beta=93.08 gamma=90.00
Sites, in units of the cell vectors:
K: 0.050 0.250 0.157
K: 0.950 0.750 0.843
Li: 0.475 0.643 0.351
Li: 0.475 0.857 0.351
Li: 0.525 0.143 0.649
Li: 0.525 0.357 0.649
Mn: 0.000 0.000 0.500
Mn: 0.000 0.500 0.500
Mn: 0.500 0.000 0.000
Mn: 0.500 0.500 0.000
O: 0.032 0.098 0.789
O: 0.032 0.402 0.789
O: 0.429 0.589 0.664
O: 0.429 0.911 0.664
O: 0.571 0.089 0.336
O: 0.571 0.411 0.336
O: 0.968 0.598 0.211
O: 0.968 0.902 0.211